The following is a simulated powder diffraction line list of Ho4ThIn. It was derived from a cell relaxed with GGA-PBE, using Cu Kα, 1.54184 Å.
No peak broadening, texture or thermal motion is included.

Peak list (10 most intense, 10° ≤ 2θ ≤ 80°, low angle first)
28.0°, I 5; 31.5°, I 100; 35.6°, I 38; 38.2°, I 13; 51.2°, I 14; 53.2°, I 20; 58.3°, I 4; 61.3°, I 30; 64.9°, I 9; 65.7°, I 11

```
6
Lattice="3.5694 0.0000 0.0000 0.0000 3.5694 0.0000 0.0000 0.0000 14.1188" Properties=species:S:1:pos:R:3 pbc="T T T"
Ho 0.0000 0.0000 2.0735
Ho 0.0000 0.0000 12.0453
Ho 1.7847 1.7847 4.6406
Ho 1.7847 1.7847 9.4782
Th 0.0000 0.0000 7.0594
In 1.7847 1.7847 0.0000
```